No. 1
Starting from a cell relaxed with GGA-PBE, the powder X-ray diffraction pattern of Ta6Al8O27F was computed for copper Kα.
Neutral-atom scattering factors, no anomalous dispersion.

Cell and atoms:
a = 7.436 Å, b = 8.738 Å, c = 8.741 Å
α = 94.96°, β = 115.17°, γ = 115.16°
Fractional coordinates of all 42 atoms:
Ta 0.000 0.000 0.000
Ta 0.074 0.750 0.249
Ta 0.410 0.910 0.085
Ta 0.497 0.497 0.498
Ta 0.577 0.247 0.750
Ta 0.913 0.413 0.587
Al 0.001 0.090 0.409
Al 0.047 0.865 0.634
Al 0.188 0.461 0.052
Al 0.415 0.806 0.698
Al 0.510 0.600 0.911
Al 0.558 0.369 0.142
Al 0.686 0.954 0.543
Al 0.915 0.305 0.198
O 0.007 0.222 0.051
O 0.052 0.973 0.250
O 0.068 0.793 0.018
O 0.094 0.534 0.191
O 0.150 0.778 0.493
O 0.166 0.319 0.401
O 0.243 0.108 0.622
O 0.243 0.571 0.703
O 0.310 0.890 0.830
O 0.349 0.126 0.100
O 0.387 0.677 0.043
O 0.422 0.899 0.321
O 0.446 0.464 0.256
O 0.505 0.718 0.552
O 0.550 0.473 0.752
O 0.570 0.294 0.520
O 0.595 0.033 0.688
O 0.649 0.279 0.994
O 0.668 0.824 0.902
O 0.735 0.601 0.119
O 0.738 0.071 0.199
O 0.815 0.393 0.333
O 0.824 0.881 0.440
O 0.845 0.622 0.600
O 0.886 0.181 0.548
O 0.929 0.402 0.826
O 0.953 0.967 0.763
F 0.314 0.371 0.930

Largest 8 diffraction maxima, sorted by position, 15° ≤ 2θ ≤ 90°:
two_theta, I (rel.)
19.34, 53.5
23.80, 66.3
23.93, 59.2
30.95, 100.0
34.01, 50.5
36.92, 48.2
42.02, 66.6
54.98, 59.5

***

No. 2
Starting from a cell relaxed with GGA-PBE, the powder X-ray diffraction pattern of AlTl2OF5 was computed for copper Kα.
Neutral-atom scattering factors, no anomalous dispersion.

Cell and atoms:
a = 6.311 Å, b = 6.311 Å, c = 7.657 Å
α = 90.00°, β = 90.00°, γ = 79.04°
Fractional coordinates of all 18 atoms:
Al 0.000 0.000 0.000
Al 0.000 0.000 0.500
Tl 0.095 0.494 0.750
Tl 0.494 0.095 0.250
Tl 0.506 0.905 0.750
Tl 0.905 0.506 0.250
O 0.452 0.548 0.250
O 0.548 0.452 0.750
F 0.007 0.993 0.250
F 0.187 0.187 0.000
F 0.187 0.187 0.500
F 0.224 0.776 0.508
F 0.224 0.776 0.992
F 0.776 0.224 0.008
F 0.776 0.224 0.492
F 0.813 0.813 0.000
F 0.813 0.813 0.500
F 0.993 0.007 0.750

Largest 8 diffraction maxima, sorted by position, 15° ≤ 2θ ≤ 90°:
two_theta, I (rel.)
18.22, 79.6
23.23, 72.6
25.04, 59.0
29.69, 93.2
31.15, 58.2
31.96, 100.0
32.31, 60.4
37.34, 96.9

***

No. 3
Starting from a cell relaxed with GGA-PBE, the powder X-ray diffraction pattern of AlTl2OF5 was computed for copper Kα.
Neutral-atom scattering factors, no anomalous dispersion.

Cell and atoms:
a = 6.546 Å, b = 6.546 Å, c = 7.413 Å
α = 90.00°, β = 90.00°, γ = 88.70°
Fractional coordinates of all 18 atoms:
Al 0.000 0.000 0.000
Al 0.000 0.000 0.500
Tl 0.149 0.476 0.750
Tl 0.476 0.149 0.250
Tl 0.524 0.851 0.750
Tl 0.851 0.524 0.250
O 0.486 0.514 0.750
O 0.514 0.486 0.250
F 0.028 0.972 0.250
F 0.196 0.196 0.000
F 0.196 0.196 0.500
F 0.196 0.804 0.530
F 0.196 0.804 0.970
F 0.804 0.196 0.030
F 0.804 0.196 0.470
F 0.804 0.804 0.000
F 0.804 0.804 0.500
F 0.972 0.028 0.750

Largest 8 diffraction maxima, sorted by position, 15° ≤ 2θ ≤ 90°:
two_theta, I (rel.)
18.08, 49.9
22.84, 100.0
24.01, 37.3
29.85, 48.1
30.78, 38.3
32.64, 61.6
41.35, 43.5
48.00, 25.0

***

No. 4
Starting from a cell relaxed with GGA-PBE, the powder X-ray diffraction pattern of Rb3AlF6 was computed for copper Kα.
Neutral-atom scattering factors, no anomalous dispersion.

Cell and atoms:
a = 6.384 Å, b = 6.384 Å, c = 6.384 Å
α = 60.00°, β = 60.00°, γ = 60.00°
Fractional coordinates of all 10 atoms:
Rb 0.000 0.000 0.000
Rb 0.250 0.250 0.250
Rb 0.750 0.750 0.750
Al 0.500 0.500 0.500
F 0.296 0.296 0.704
F 0.296 0.704 0.296
F 0.296 0.704 0.704
F 0.704 0.296 0.296
F 0.704 0.296 0.704
F 0.704 0.704 0.296

Largest 8 diffraction maxima, sorted by position, 15° ≤ 2θ ≤ 90°:
two_theta, I (rel.)
27.95, 100.0
34.41, 14.4
39.94, 40.1
43.70, 9.7
49.45, 34.2
57.76, 22.4
65.37, 22.5
79.43, 23.0

***

No. 5
Starting from a cell relaxed with GGA-PBE, the powder X-ray diffraction pattern of AlSnF5 was computed for copper Kα.
Neutral-atom scattering factors, no anomalous dispersion.

Cell and atoms:
a = 5.683 Å, b = 5.683 Å, c = 5.683 Å
α = 140.90°, β = 106.28°, γ = 86.76°
Fractional coordinates of all 7 atoms:
Al 0.000 0.000 0.000
Sn 0.500 0.500 0.000
F 0.000 0.500 0.500
F 0.217 0.217 0.000
F 0.272 0.000 0.272
F 0.728 0.000 0.728
F 0.783 0.783 0.000

Largest 8 diffraction maxima, sorted by position, 15° ≤ 2θ ≤ 90°:
two_theta, I (rel.)
16.86, 50.3
21.51, 96.7
26.14, 58.3
26.84, 100.0
37.05, 66.5
48.79, 42.1
51.79, 31.1
52.16, 31.8

***

Number 1 is which compound? Ta6Al8O27F